No. 1
For Zr2PbO6, a cell relaxed with GGA-PBE gives the calculated X-ray diffraction stick pattern in this record (λ = 1.5418 Å (Cu Kα)).
No peak broadening, texture or thermal motion is included.

Largest 8 diffraction maxima, sorted by position, 10° ≤ 2θ ≤ 90°:
d_spacing  2θ/deg  I (rel.)  (hkl)
6.761  13.09  78.8  1 1 0
4.503  19.72  45.1  1 1 1
3.698  24.07  45.4  1 2 1
2.950  30.30  100.0  2 2 1
2.915  30.67  20.4  0 1 2
2.843  31.47  20.6  1 0 2
2.806  31.89  27.2  0 4 0
1.646  55.84  21.6  2 6 1

```
36
Lattice="8.470 0.000 0.000 0.000 11.226 0.000 0.000 0.000 6.037" Properties=species:S:1:pos:R:3 pbc="T T T"
Zr 1.898 1.468 0.000
Zr 1.898 9.757 3.018
Zr 2.268 4.217 2.827
Zr 2.268 7.008 5.845
Zr 6.202 4.217 2.827
Zr 6.202 7.008 5.845
Zr 6.572 1.468 0.000
Zr 6.572 9.757 3.018
Pb 0.000 4.342 5.210
Pb 0.000 6.884 2.191
Pb 4.235 1.327 3.689
Pb 4.235 9.898 0.671
O 0.000 0.917 6.021
O 0.000 4.901 3.013
O 0.000 6.325 6.031
O 0.000 10.308 3.003
O 1.495 2.946 4.519
O 1.495 8.280 1.501
O 1.770 2.805 1.475
O 1.770 8.420 4.493
O 2.254 5.488 4.583
O 2.254 5.738 1.564
O 2.489 0.260 4.132
O 2.489 10.966 1.113
O 4.235 1.739 5.765
O 4.235 3.395 3.002
O 4.235 7.830 6.020
O 4.235 9.487 2.746
O 5.981 0.260 4.132
O 5.981 10.966 1.113
O 6.215 5.488 4.583
O 6.215 5.738 1.564
O 6.700 2.805 1.475
O 6.700 8.420 4.493
O 6.975 2.946 4.519
O 6.975 8.280 1.501
```

No. 2
For PdO, a cell relaxed with GGA-PBE gives the calculated X-ray diffraction stick pattern in this record (λ = 1.5418 Å (Cu Kα)).
No peak broadening, texture or thermal motion is included.

Largest 6 diffraction maxima, sorted by position, 10° ≤ 2θ ≤ 90°:
d_spacing  2θ/deg  I (rel.)  (hkl)
2.816  31.78  75.2  1 0 0
1.991  45.56  100.0  1 1 0
1.626  56.62  20.2  1 1 1
1.408  66.41  15.2  2 0 0
1.259  75.51  26.4  2 1 0
1.149  84.24  30.7  2 1 1

```
2
Lattice="2.816 0.000 0.000 0.000 2.816 0.000 0.000 0.000 2.816" Properties=species:S:1:pos:R:3 pbc="T T T"
Pd 0.000 0.000 0.000
O 1.408 1.408 1.408
```

No. 3
For PdO, a cell relaxed with GGA-PBE gives the calculated X-ray diffraction stick pattern in this record (λ = 1.5418 Å (Cu Kα)).
No peak broadening, texture or thermal motion is included.

Largest 8 diffraction maxima, sorted by position, 10° ≤ 2θ ≤ 90°:
d_spacing  2θ/deg  I (rel.)  (hkl)
2.721  32.92  18.3  0 0 2
2.691  33.29  100.0  1 0 1
2.189  41.24  20.0  1 1 0
1.706  53.74  32.0  1 1 2
1.565  59.02  18.7  1 0 3
1.548  59.74  11.4  2 0 0
1.342  70.13  22.0  2 1 1
1.101  88.92  12.0  2 1 3

```
4
Lattice="3.096 0.000 0.000 0.000 3.096 0.000 0.000 0.000 5.442" Properties=species:S:1:pos:R:3 pbc="T T T"
Pd 0.000 1.548 0.000
Pd 1.548 0.000 2.721
O 0.000 0.000 1.361
O 0.000 0.000 4.082
```